No. 1
Structure and simulated powder X-ray diffraction pattern of PmSmMg2 (DFT lattice parameters and positions (PBE); Cu Kα X-rays).
Intensities are scaled so that the largest is 100.

Principal peaks in the range 2θ = 10–90°, sorted by position:
- 2θ 23.06, intensity 60, (2 0 0)
- 2θ 32.85, intensity 100, (2 2 0)
- 2θ 40.52, intensity 19, (2 2 2)
- 2θ 47.14, intensity 18, (4 0 0)
- 2θ 53.11, intensity 26, (4 2 0)
- 2θ 58.64, intensity 38, (4 2 2)
- 2θ 68.87, intensity 12, (4 4 0)
- 2θ 73.70, intensity 12, (6 0 0)
- 2θ 78.42, intensity 16, (6 2 0)
- 2θ 83.07, intensity 7, (6 2 2)
- 2θ 87.66, intensity 4, (4 4 4)

Cell and atoms:
Cell: 7.712 7.712 7.712 Å, 90.00 90.00 90.00°
Space group Fm-3m (No. 225)
Asymmetric unit:
1 Pm 0.000 0.000 0.000 [4 per cell]
2 Sm 0.000 0.000 0.500 [4 per cell]
3 Mg 0.250 0.250 0.250 [8 per cell]

***

No. 2
Structure and simulated powder X-ray diffraction pattern of Pm2MgSn (DFT lattice parameters and positions (PBE); Cu Kα X-rays).
Intensities are scaled so that the largest is 100.

Principal peaks in the range 2θ = 10–90°, sorted by position:
- 2θ 20.07, intensity 10, (1 1 1)
- 2θ 23.22, intensity 14, (2 0 0)
- 2θ 33.07, intensity 100, (2 2 0)
- 2θ 38.99, intensity 6, (3 1 1)
- 2θ 40.80, intensity 4, (2 2 2)
- 2θ 47.47, intensity 18, (4 0 0)
- 2θ 52.03, intensity 3, (3 3 1)
- 2θ 53.48, intensity 6, (4 2 0)
- 2θ 59.07, intensity 38, (4 2 2)
- 2θ 69.39, intensity 12, (4 4 0)
- 2θ 79.04, intensity 17, (6 2 0)
- 2θ 88.39, intensity 4, (4 4 4)

Cell and atoms:
Cell: 7.662 7.662 7.662 Å, 90.00 90.00 90.00°
Space group Fm-3m (No. 225)
Asymmetric unit:
1 Pm 0.250 0.250 0.250 [8 per cell]
2 Mg 0.000 0.000 0.000 [4 per cell]
3 Sn 0.000 0.000 0.500 [4 per cell]

***

No. 3
Structure and simulated powder X-ray diffraction pattern of PmMgTl2 (DFT lattice parameters and positions (PBE); Cu Kα X-rays).
Intensities are scaled so that the largest is 100.

Principal peaks in the range 2θ = 10–90°, sorted by position:
- 2θ 20.35, intensity 10, (1 1 1)
- 2θ 23.54, intensity 19, (2 0 0)
- 2θ 33.53, intensity 100, (2 2 0)
- 2θ 39.54, intensity 6, (3 1 1)
- 2θ 41.38, intensity 6, (2 2 2)
- 2θ 48.15, intensity 18, (4 0 0)
- 2θ 54.27, intensity 8, (4 2 0)
- 2θ 59.95, intensity 38, (4 2 2)
- 2θ 70.47, intensity 12, (4 4 0)
- 2θ 75.46, intensity 4, (6 0 0)
- 2θ 80.34, intensity 17, (6 2 0)
- 2θ 89.92, intensity 4, (4 4 4)

Cell and atoms:
Cell: 7.559 7.559 7.559 Å, 90.00 90.00 90.00°
Space group Fm-3m (No. 225)
Asymmetric unit:
1 Pm 0.000 0.000 0.000 [4 per cell]
2 Mg 0.000 0.000 0.500 [4 per cell]
3 Tl 0.250 0.250 0.250 [8 per cell]

***

No. 4
Structure and simulated powder X-ray diffraction pattern of PmYMg2 (DFT lattice parameters and positions (PBE); Cu Kα X-rays).
Intensities are scaled so that the largest is 100.

Principal peaks in the range 2θ = 10–90°, sorted by position:
- 2θ 20.07, intensity 8, (1 1 1)
- 2θ 23.21, intensity 51, (2 0 0)
- 2θ 33.06, intensity 100, (2 2 0)
- 2θ 38.97, intensity 5, (3 1 1)
- 2θ 40.78, intensity 15, (2 2 2)
- 2θ 47.45, intensity 18, (4 0 0)
- 2θ 53.46, intensity 21, (4 2 0)
- 2θ 59.04, intensity 37, (4 2 2)
- 2θ 69.36, intensity 11, (4 4 0)
- 2θ 74.24, intensity 10, (6 0 0)
- 2θ 79.01, intensity 15, (6 2 0)
- 2θ 83.70, intensity 6, (6 2 2)

Cell and atoms:
Cell: 7.665 7.665 7.665 Å, 90.00 90.00 90.00°
Space group Fm-3m (No. 225)
Asymmetric unit:
1 Pm 0.000 0.000 0.000 [4 per cell]
2 Y 0.000 0.000 0.500 [4 per cell]
3 Mg 0.250 0.250 0.250 [8 per cell]

***

No. 5
Structure and simulated powder X-ray diffraction pattern of PmMgZn2 (DFT lattice parameters and positions (PBE); Cu Kα X-rays).
Intensities are scaled so that the largest is 100.

Principal peaks in the range 2θ = 10–90°, sorted by position:
- 2θ 22.10, intensity 35, (1 1 1)
- 2θ 25.57, intensity 1, (2 0 0)
- 2θ 36.47, intensity 100, (2 2 0)
- 2θ 43.05, intensity 19, (3 1 1)
- 2θ 52.53, intensity 17, (4 0 0)
- 2θ 57.67, intensity 8, (3 3 1)
- 2θ 59.31, intensity 1, (4 2 0)
- 2θ 65.64, intensity 34, (4 2 2)
- 2θ 70.18, intensity 6, (5 1 1)
- 2θ 77.49, intensity 10, (4 4 0)
- 2θ 81.77, intensity 6, (5 3 1)
- 2θ 88.81, intensity 15, (6 2 0)

Cell and atoms:
Cell: 6.968 6.968 6.968 Å, 90.00 90.00 90.00°
Space group Fm-3m (No. 225)
Asymmetric unit:
1 Pm 0.000 0.000 0.000 [4 per cell]
2 Mg 0.000 0.000 0.500 [4 per cell]
3 Zn 0.250 0.250 0.250 [8 per cell]

***

No. 6
Structure and simulated powder X-ray diffraction pattern of PrMg3 (DFT lattice parameters and positions (PBE); Cu Kα X-rays).
Intensities are scaled so that the largest is 100.

Principal peaks in the range 2θ = 10–90°, sorted by position:
- 2θ 20.66, intensity 65, (1 1 1)
- 2θ 23.90, intensity 34, (2 0 0)
- 2θ 34.05, intensity 100, (2 2 0)
- 2θ 40.16, intensity 36, (3 1 1)
- 2θ 48.93, intensity 18, (4 0 0)
- 2θ 53.65, intensity 15, (3 3 1)
- 2θ 55.16, intensity 14, (4 2 0)
- 2θ 60.95, intensity 36, (4 2 2)
- 2θ 65.09, intensity 12, (5 1 1)
- 2θ 71.70, intensity 11, (4 4 0)
- 2θ 75.54, intensity 11, (5 3 1)
- 2θ 81.81, intensity 15, (6 2 0)

Cell and atoms:
Cell: 7.446 7.446 7.446 Å, 90.00 90.00 90.00°
Space group Fm-3m (No. 225)
Asymmetric unit:
1 Pr 0.000 0.000 0.000 [4 per cell]
2 Mg 0.000 0.000 0.500 [4 per cell]
3 Mg 0.250 0.250 0.250 [8 per cell]